(1)
GeBiF5: theoretical powder diffractogram (Cu Kα (weighted mean of Kα1 and Kα2)), based on DFT lattice parameters and positions (GGA-PBE).
Intensities are scaled so that the largest is 100.

Top 10 peaks for 2θ = 10–90°, sorted by position:
13.46 deg, rel. 78; 20.60 deg, rel. 32; 22.48 deg, rel. 100; 23.26 deg, rel. 93; 26.72 deg, rel. 48; 27.11 deg, rel. 46; 27.80 deg, rel. 46; 28.13 deg, rel. 48; 42.68 deg, rel. 32; 44.96 deg, rel. 31

Crystal structure
Lattice parameters (Å, degrees): 5.611 6.628 7.220 99.72 111.56 92.87
Fractional coordinates of all 14 atoms:
Ge  0.000  0.000  0.000
Ge  0.449  0.503  0.911
Bi  0.281  0.761  0.446
Bi  0.767  0.246  0.466
F  0.053  0.003  0.524
F  0.071  0.384  0.785
F  0.331  0.072  0.242
F  0.359  0.747  0.795
F  0.402  0.618  0.154
F  0.520  0.481  0.544
F  0.613  0.035  0.629
F  0.818  0.160  0.138
F  0.936  0.773  0.118
F  0.959  0.538  0.419

(2)
BiHF6: theoretical powder diffractogram (Cu Kα (weighted mean of Kα1 and Kα2)), based on DFT lattice parameters and positions (GGA-PBE).
Intensities are scaled so that the largest is 100.

Top 10 peaks for 2θ = 10–90°, sorted by position:
17.87 deg, rel. 71; 19.75 deg, rel. 60; 20.31 deg, rel. 100; 23.46 deg, rel. 76; 26.76 deg, rel. 46; 30.48 deg, rel. 44; 36.88 deg, rel. 60; 41.29 deg, rel. 18; 46.95 deg, rel. 24; 55.14 deg, rel. 21

Crystal structure
Lattice parameters (Å, degrees): 5.231 8.988 5.185 90.00 106.86 90.00
Fractional coordinates of all 16 atoms:
Bi  0.000  0.000  0.000
Bi  0.500  0.500  0.000
H  0.000  0.500  0.500
H  0.500  0.000  0.500
F  0.096  0.500  0.730
F  0.108  0.157  0.775
F  0.108  0.843  0.775
F  0.392  0.343  0.225
F  0.392  0.657  0.225
F  0.404  0.000  0.270
F  0.596  0.000  0.730
F  0.608  0.343  0.775
F  0.608  0.657  0.775
F  0.892  0.157  0.225
F  0.892  0.843  0.225
F  0.904  0.500  0.270

(3)
HgBiF2: theoretical powder diffractogram (Cu Kα (weighted mean of Kα1 and Kα2)), based on DFT lattice parameters and positions (GGA-PBE).
Intensities are scaled so that the largest is 100.

Top 10 peaks for 2θ = 10–90°, sorted by position:
22.33 deg, rel. 38; 24.25 deg, rel. 94; 25.45 deg, rel. 100; 29.99 deg, rel. 62; 33.20 deg, rel. 33; 34.38 deg, rel. 74; 38.94 deg, rel. 53; 43.41 deg, rel. 35; 49.55 deg, rel. 32; 49.70 deg, rel. 37

Crystal structure
Lattice parameters (Å, degrees): 4.148 7.340 6.208 90.00 106.30 90.00
Fractional coordinates of all 8 atoms:
Hg  0.100  0.250  0.465
Hg  0.900  0.750  0.535
Bi  0.197  0.250  0.980
Bi  0.803  0.750  0.020
F  0.287  0.574  0.086
F  0.287  0.926  0.086
F  0.713  0.074  0.914
F  0.713  0.426  0.914

(4)
Ho2BiF11: theoretical powder diffractogram (Cu Kα (weighted mean of Kα1 and Kα2)), based on DFT lattice parameters and positions (GGA-PBE).
Intensities are scaled so that the largest is 100.

Top 10 peaks for 2θ = 10–90°, sorted by position:
14.09 deg, rel. 24; 21.58 deg, rel. 100; 22.19 deg, rel. 30; 23.83 deg, rel. 67; 25.37 deg, rel. 48; 28.43 deg, rel. 35; 32.87 deg, rel. 22; 43.99 deg, rel. 42; 46.44 deg, rel. 30; 48.73 deg, rel. 31

Crystal structure
Lattice parameters (Å, degrees): 8.473 8.473 8.473 124.00 105.59 99.91
Fractional coordinates of all 28 atoms:
Ho  0.182  0.136  0.318
Ho  0.318  0.636  0.954
Ho  0.682  0.364  0.046
Ho  0.818  0.864  0.682
Bi  0.250  0.750  0.500
Bi  0.750  0.250  0.500
F  0.000  0.000  0.000
F  0.016  0.443  0.761
F  0.077  0.851  0.645
F  0.183  0.943  0.427
F  0.206  0.432  0.355
F  0.223  0.872  0.094
F  0.277  0.372  0.649
F  0.294  0.649  0.226
F  0.317  0.745  0.761
F  0.423  0.068  0.774
F  0.484  0.245  0.427
F  0.500  0.500  0.000
F  0.516  0.755  0.573
F  0.577  0.932  0.226
F  0.683  0.255  0.239
F  0.706  0.351  0.774
F  0.723  0.628  0.351
F  0.777  0.128  0.906
F  0.794  0.568  0.645
F  0.817  0.057  0.573
F  0.923  0.149  0.355
F  0.984  0.557  0.239

(5)
BiI2F: theoretical powder diffractogram (Cu Kα (weighted mean of Kα1 and Kα2)), based on DFT lattice parameters and positions (GGA-PBE).
Intensities are scaled so that the largest is 100.

Top 10 peaks for 2θ = 10–90°, sorted by position:
15.13 deg, rel. 80; 23.19 deg, rel. 100; 26.47 deg, rel. 63; 27.58 deg, rel. 40; 28.93 deg, rel. 69; 29.78 deg, rel. 43; 30.74 deg, rel. 38; 35.16 deg, rel. 39; 37.10 deg, rel. 77; 41.99 deg, rel. 44

Crystal structure
Lattice parameters (Å, degrees): 7.763 6.776 11.622 90.00 90.00 90.00
Fractional coordinates of all 16 atoms:
Bi  0.250  0.000  0.115
Bi  0.250  0.500  0.385
Bi  0.750  0.000  0.885
Bi  0.750  0.500  0.615
I  0.089  0.248  0.922
I  0.089  0.252  0.578
I  0.411  0.748  0.578
I  0.411  0.752  0.922
I  0.589  0.248  0.078
I  0.589  0.252  0.422
I  0.911  0.748  0.422
I  0.911  0.752  0.078
F  0.194  0.250  0.250
F  0.306  0.750  0.250
F  0.694  0.250  0.750
F  0.806  0.750  0.750

(6)
Bi4I2F5: theoretical powder diffractogram (Cu Kα (weighted mean of Kα1 and Kα2)), based on DFT lattice parameters and positions (GGA-PBE).
Intensities are scaled so that the largest is 100.

Top 10 peaks for 2θ = 10–90°, sorted by position:
16.88 deg, rel. 66; 19.58 deg, rel. 67; 22.67 deg, rel. 30; 27.51 deg, rel. 34; 28.08 deg, rel. 42; 30.12 deg, rel. 62; 31.66 deg, rel. 100; 34.35 deg, rel. 28; 36.19 deg, rel. 32; 39.47 deg, rel. 44

Crystal structure
Lattice parameters (Å, degrees): 7.280 7.280 9.239 118.84 118.84 48.10
Fractional coordinates of all 11 atoms:
Bi  0.097  0.097  0.464
Bi  0.145  0.145  0.930
Bi  0.855  0.855  0.070
Bi  0.903  0.903  0.536
I  0.434  0.434  0.668
I  0.566  0.566  0.332
F  0.000  0.000  0.000
F  0.009  0.490  0.858
F  0.490  0.009  0.858
F  0.510  0.991  0.142
F  0.991  0.510  0.142

(7)
Tl2InBiF6: theoretical powder diffractogram (Cu Kα (weighted mean of Kα1 and Kα2)), based on DFT lattice parameters and positions (GGA-PBE).
Intensities are scaled so that the largest is 100.

Top 10 peaks for 2θ = 10–90°, sorted by position:
25.82 deg, rel. 100; 27.20 deg, rel. 88; 37.85 deg, rel. 48; 45.59 deg, rel. 18; 46.27 deg, rel. 16; 46.44 deg, rel. 32; 48.90 deg, rel. 13; 53.01 deg, rel. 11; 60.60 deg, rel. 13; 62.78 deg, rel. 11

Crystal structure
Lattice parameters (Å, degrees): 6.565 6.569 6.588 63.35 63.40 63.23
Fractional coordinates of all 10 atoms:
Tl  0.000  0.000  0.000
Tl  0.492  0.492  0.490
In  0.255  0.255  0.255
Bi  0.756  0.757  0.757
F  0.046  0.433  0.611
F  0.072  0.885  0.596
F  0.432  0.612  0.046
F  0.592  0.074  0.884
F  0.615  0.044  0.432
F  0.885  0.595  0.072

(8)
KBiF4: theoretical powder diffractogram (Cu Kα (weighted mean of Kα1 and Kα2)), based on DFT lattice parameters and positions (GGA-PBE).
Intensities are scaled so that the largest is 100.

Top 10 peaks for 2θ = 10–90°, sorted by position:
12.96 deg, rel. 64; 24.95 deg, rel. 38; 26.08 deg, rel. 100; 30.21 deg, rel. 25; 43.25 deg, rel. 62; 45.33 deg, rel. 19; 51.20 deg, rel. 48; 69.21 deg, rel. 19; 79.32 deg, rel. 17; 85.21 deg, rel. 15

Crystal structure
Lattice parameters (Å, degrees): 8.368 8.368 8.368 60.00 60.00 60.00
Fractional coordinates of all 24 atoms:
K  0.000  0.000  0.000
K  0.000  0.000  0.500
K  0.000  0.500  0.000
K  0.500  0.000  0.000
Bi  0.000  0.500  0.500
Bi  0.500  0.000  0.500
Bi  0.500  0.500  0.000
Bi  0.500  0.500  0.500
F  0.125  0.125  0.125
F  0.157  0.157  0.593
F  0.157  0.593  0.157
F  0.157  0.593  0.593
F  0.375  0.375  0.375
F  0.407  0.407  0.843
F  0.407  0.843  0.407
F  0.407  0.843  0.843
F  0.593  0.157  0.157
F  0.593  0.157  0.593
F  0.593  0.593  0.157
F  0.625  0.625  0.625
F  0.843  0.407  0.407
F  0.843  0.407  0.843
F  0.843  0.843  0.407
F  0.875  0.875  0.875

(9)
K3Bi6F20: theoretical powder diffractogram (Cu Kα (weighted mean of Kα1 and Kα2)), based on DFT lattice parameters and positions (GGA-PBE).
Intensities are scaled so that the largest is 100.

Top 10 peaks for 2θ = 10–90°, sorted by position:
14.40 deg, rel. 31; 20.42 deg, rel. 17; 25.07 deg, rel. 100; 29.03 deg, rel. 47; 41.52 deg, rel. 52; 49.12 deg, rel. 53; 51.45 deg, rel. 15; 66.22 deg, rel. 18; 68.17 deg, rel. 15; 75.74 deg, rel. 17

Crystal structure
Lattice parameters (Å, degrees): 8.700 8.700 8.700 60.00 60.00 60.00
Fractional coordinates of all 29 atoms:
K  0.000  0.000  0.000
K  0.250  0.250  0.250
K  0.750  0.750  0.750
Bi  0.266  0.266  0.734
Bi  0.266  0.734  0.266
Bi  0.266  0.734  0.734
Bi  0.734  0.266  0.266
Bi  0.734  0.266  0.734
Bi  0.734  0.734  0.266
F  0.000  0.000  0.320
F  0.000  0.000  0.680
F  0.000  0.320  0.000
F  0.000  0.320  0.680
F  0.000  0.680  0.000
F  0.000  0.680  0.320
F  0.155  0.615  0.615
F  0.320  0.000  0.000
F  0.320  0.000  0.680
F  0.320  0.680  0.000
F  0.385  0.385  0.385
F  0.385  0.385  0.845
F  0.385  0.845  0.385
F  0.615  0.155  0.615
F  0.615  0.615  0.155
F  0.615  0.615  0.615
F  0.680  0.000  0.000
F  0.680  0.000  0.320
F  0.680  0.320  0.000
F  0.845  0.385  0.385

(10)
K2Bi3F11: theoretical powder diffractogram (Cu Kα (weighted mean of Kα1 and Kα2)), based on DFT lattice parameters and positions (GGA-PBE).
Intensities are scaled so that the largest is 100.

Top 10 peaks for 2θ = 10–90°, sorted by position:
18.62 deg, rel. 72; 23.34 deg, rel. 16; 24.87 deg, rel. 100; 25.02 deg, rel. 39; 29.34 deg, rel. 22; 30.23 deg, rel. 20; 32.15 deg, rel. 19; 43.71 deg, rel. 53; 47.79 deg, rel. 14; 50.95 deg, rel. 19

Crystal structure
Lattice parameters (Å, degrees): 4.141 4.141 19.193 84.01 84.21 60.07
Fractional coordinates of all 16 atoms:
K  0.000  0.000  0.000
K  0.383  0.381  0.850
Bi  0.106  0.109  0.665
Bi  0.192  0.191  0.425
Bi  0.277  0.272  0.185
F  0.071  0.070  0.782
F  0.152  0.150  0.544
F  0.232  0.232  0.306
F  0.313  0.311  0.068
F  0.429  0.432  0.694
F  0.518  0.517  0.449
F  0.606  0.599  0.206
F  0.692  0.690  0.925
F  0.778  0.782  0.644
F  0.866  0.866  0.401
F  0.954  0.949  0.156

(11)
K3Bi2O3F4: theoretical powder diffractogram (Cu Kα (weighted mean of Kα1 and Kα2)), based on DFT lattice parameters and positions (GGA-PBE).
Intensities are scaled so that the largest is 100.

Top 10 peaks for 2θ = 10–90°, sorted by position:
15.82 deg, rel. 61; 19.19 deg, rel. 77; 20.70 deg, rel. 72; 27.42 deg, rel. 93; 27.80 deg, rel. 100; 28.52 deg, rel. 83; 38.08 deg, rel. 32; 48.25 deg, rel. 55; 49.61 deg, rel. 37; 50.30 deg, rel. 36

Crystal structure
Lattice parameters (Å, degrees): 11.660 11.660 11.660 158.39 32.05 156.61
Fractional coordinates of all 12 atoms:
K  0.000  0.000  0.000
K  0.232  0.043  0.189
K  0.854  0.043  0.811
Bi  0.410  0.006  0.404
Bi  0.602  0.006  0.596
O  0.425  0.531  0.894
O  0.485  0.985  0.500
O  0.637  0.531  0.106
F  0.105  0.512  0.593
F  0.172  0.873  0.299
F  0.573  0.873  0.701
F  0.920  0.512  0.407

(12)
K3Bi2O4F3: theoretical powder diffractogram (Cu Kα (weighted mean of Kα1 and Kα2)), based on DFT lattice parameters and positions (GGA-PBE).
Intensities are scaled so that the largest is 100.

Top 10 peaks for 2θ = 10–90°, sorted by position:
15.04 deg, rel. 89; 19.66 deg, rel. 74; 21.32 deg, rel. 65; 27.09 deg, rel. 94; 28.34 deg, rel. 90; 28.65 deg, rel. 100; 38.20 deg, rel. 34; 39.15 deg, rel. 35; 48.44 deg, rel. 44; 49.03 deg, rel. 41

Crystal structure
Lattice parameters (Å, degrees): 12.187 12.187 12.187 159.99 158.24 29.73
Fractional coordinates of all 12 atoms:
K  0.000  0.000  0.000
K  0.197  0.197  0.000
K  0.803  0.803  0.000
Bi  0.395  0.395  0.000
Bi  0.605  0.605  0.000
O  0.308  0.308  0.000
O  0.412  0.912  0.500
O  0.588  0.088  0.500
O  0.692  0.692  0.000
F  0.096  0.596  0.500
F  0.500  0.500  0.000
F  0.904  0.404  0.500